# La2Pr2DyAg5
Calculated X-ray powder pattern, Cu Kα (λ = 1.5418 Å). Input: DFT lattice parameters and positions (GGA-PBE).
Intensities are scaled so that the largest is 100.

Structure:
```
La2Pr2DyAg5
1.0
11.1842 0.0000 0.0000
0.0000 11.1842 0.0000
0.0000 0.0000 4.3192
La Pr Dy Ag
4 4 2 10
Direct
0.1721 0.3279 0.0000
0.3279 0.8279 0.0000
0.6721 0.1721 0.0000
0.8279 0.6721 0.0000
0.1310 0.6310 0.0000
0.3690 0.1310 0.0000
0.6310 0.8690 0.0000
0.8690 0.3690 0.0000
0.0000 0.0000 0.0000
0.5000 0.5000 0.0000
0.0000 0.5000 0.5000
0.0636 0.8194 0.5000
0.1806 0.0636 0.5000
0.3194 0.5636 0.5000
0.4364 0.3194 0.5000
0.5000 0.0000 0.5000
0.5636 0.6806 0.5000
0.6806 0.4364 0.5000
0.8194 0.9364 0.5000
0.9364 0.1806 0.5000
```

Main lines, in order of rising 2θ (15° ≤ 2θ ≤ 90°):
index	2theta	Rel. int.
3 1 1	32.73	100
4 1 0	33.02	22
3 3 0	34.01	14
3 2 1	35.63	25
0 0 2	41.82	22
4 1 2	54.27	16